HoPuH8Ir2: theoretical PXRD pattern (λ = 1.5418 Å (Cu Kα)), based on a cell relaxed with GGA-PBE.
Intensities are scaled so that the largest is 100.

Crystal structure
a = 4.5052 Å, b = 4.5052 Å, c = 19.6847 Å
α = 90.00°, β = 90.00°, γ = 120.00°
Space group R-3m (No. 166, hexagonal axes)
Symmetry-distinct sites (fractional):
Ho  0.0000  0.0000  0.0000
Pu  0.0000  0.0000  0.5000
H  0.0000  0.0000  0.1488
H  0.0334  0.5167  0.0525
Ir  0.0000  0.0000  0.2365

Peak list (8 most intense, 2θ from 15° to 90°, low angle first)
(hkl), 2θ/deg, I/Imax
1 0 4, 29.21, 100.0
1 1 0, 40.03, 46.7
0 1 8, 43.48, 29.7
0 2 4, 50.31, 23.0
2 0 8, 60.57, 11.1
2 1 4, 66.15, 21.7
1 1 12, 71.09, 10.4
1 2 8, 75.10, 12.1